[1]
This entry pairs a crystal structure of Ba6AsPd2 with its calculated XRD peak list. Radiation: a wavelength of 1.5418 Å. Structure: the GGA-PBE geometry in Alexandria.
Intensities are scaled so that the largest is 100.

The 12 most intense peaks (2θ from 15° to 90°), sorted by position:
22.93 deg, I 9.8; 24.64 deg, I 100.0; 24.82 deg, I 15.9; 31.73 deg, I 34.4; 32.02 deg, I 24.7; 38.03 deg, I 30.4; 38.50 deg, I 14.8; 40.86 deg, I 12.4; 41.57 deg, I 23.9; 46.27 deg, I 12.0; 57.39 deg, I 9.1; 61.04 deg, I 10.3

Unit cell a=17.7058 b=4.6766 c=11.2021 alpha=90.00 beta=105.02 gamma=90.00
Space group C2/m (No. 12)
Unique sites:
Ba1 0.0392 0.0000 0.3013
Ba2 0.1311 0.5000 0.0412
Ba3 0.2025 0.5000 0.6297
As1 0.0000 0.0000 0.0000
Pd1 0.1687 0.5000 0.3362

[2]
This entry pairs a crystal structure of NaSm2AgS4 with its calculated XRD peak list. Radiation: a wavelength of 1.5418 Å. Structure: the GGA-PBE geometry in Alexandria.
Intensities are scaled so that the largest is 100.

The 12 most intense peaks (2θ from 15° to 90°), sorted by position:
26.80 deg, I 41.4; 27.22 deg, I 39.8; 31.08 deg, I 51.2; 31.39 deg, I 100.0; 44.46 deg, I 18.4; 44.76 deg, I 72.0; 45.52 deg, I 17.2; 52.94 deg, I 22.8; 55.23 deg, I 18.8; 56.14 deg, I 18.0; 73.77 deg, I 15.5; 74.28 deg, I 15.3

Unit cell a=7.9709 b=8.1514 c=11.5110 alpha=90.00 beta=90.00 gamma=90.00
Space group Imma (No. 74)
Unique sites:
Na1 0.2500 0.2500 0.2500
Sm1 0.0000 0.0000 0.0000
Sm2 0.2500 0.2500 0.7500
Ag1 0.0000 0.0000 0.5000
S1 0.0000 0.0095 0.7568
S2 0.2452 0.2500 0.9953

[3]
This entry pairs a crystal structure of Pr3CuNi3 with its calculated XRD peak list. Radiation: a wavelength of 1.5418 Å. Structure: the GGA-PBE geometry in Alexandria.
Intensities are scaled so that the largest is 100.

The 12 most intense peaks (2θ from 15° to 90°), sorted by position:
26.47 deg, I 31.5; 30.51 deg, I 90.2; 32.16 deg, I 62.4; 33.85 deg, I 86.6; 35.24 deg, I 33.6; 35.47 deg, I 90.3; 39.65 deg, I 100.0; 40.73 deg, I 34.5; 40.87 deg, I 43.1; 42.76 deg, I 63.5; 60.54 deg, I 28.7; 68.14 deg, I 30.0

Unit cell a=4.2296 b=10.1869 c=13.2913 alpha=90.00 beta=90.00 gamma=90.00
Space group Cmcm (No. 63)
Unique sites:
Pr1 0.0000 0.0041 0.2500
Pr2 0.0000 0.2865 0.1033
Cu1 0.0000 0.0000 0.0000
Ni1 0.0000 0.2914 0.7500
Ni2 0.0000 0.4272 0.5865